# 1
The following is a simulated XRD peak list of BaCaBO3F. It was derived from a crystal structure in the Materials Project, relaxed with PBE, using Cu Kα X-rays.
No peak broadening, texture or thermal motion is included.

Atomic structure:
a = 4.4892 Å, b = 8.9019 Å, c = 9.1197 Å
α = 61.13°, β = 89.86°, γ = 89.26°
Space group P1 (No. 1)
Inequivalent atoms, fractional coordinates:
Ba  0.0000  0.0000  0.0000
Ba  0.0079  0.3062  0.4041
Ba  0.0651  0.7253  0.6963
Ca  0.5005  0.0154  0.3117
Ca  0.5020  0.6252  0.0878
Ca  0.5502  0.3909  0.7001
B  0.5006  0.0153  0.7000
B  0.5193  0.3447  0.0278
B  0.5224  0.6741  0.3724
O  0.3937  0.0299  0.5509
O  0.4050  0.8793  0.8499
O  0.5060  0.2019  0.0031
O  0.5122  0.5075  0.3958
O  0.5193  0.8128  0.2106
O  0.5227  0.3225  0.1900
O  0.5283  0.5099  0.8905
O  0.5342  0.7027  0.5103
O  0.6982  0.1344  0.6994
F  0.0000  0.6294  0.0882
F  0.0525  0.4039  0.6888
F  0.9992  0.0113  0.3124

Most intense lines, 2θ from 10° to 80°, by angle:
2θ (°), I_rel, (hkl)
19.38, 53, 0 1 -1
19.48, 50, 0 1 2
19.95, 44, 0 2 1
27.68, 47, 1 1 -1
27.90, 100, -1 1 2
28.01, 95, 1 -1 1
28.42, 55, -1 2 1
40.17, 53, 2 0 0


# 2
The following is a simulated XRD peak list of Ba2CdB6O12. It was derived from a crystal structure in the Materials Project, relaxed with PBE, using Cu Kα X-rays.
No peak broadening, texture or thermal motion is included.

Atomic structure:
a = 7.2312 Å, b = 7.2312 Å, c = 17.8104 Å
α = 90.00°, β = 90.00°, γ = 120.00°
Space group R-3 (No. 148, hexagonal axes)
Inequivalent atoms, fractional coordinates:
Ba  0.0000  0.0000  0.2085
Cd  0.0000  0.0000  0.0000
B  0.0473  0.8292  0.5856
O  0.9996  0.2495  0.0862
O  0.0451  0.8348  0.4125

Most intense lines, 2θ from 10° to 80°, by angle:
2θ (°), I_rel, (hkl)
14.99, 39, 1 0 1
24.60, 100, 1 1 0
28.84, 88, 0 1 5
35.03, 20, 0 2 4
38.26, 31, 2 0 5
43.31, 50, 3 -1 4
46.03, 33, 3 -2 5
68.67, 20, 4 1 0


# 3
The following is a simulated XRD peak list of Ba2CdB2O6. It was derived from a crystal structure in the Materials Project, relaxed with PBE, using Cu Kα X-rays.
No peak broadening, texture or thermal motion is included.

Atomic structure:
a = 9.8040 Å, b = 5.4045 Å, c = 6.7668 Å
α = 90.00°, β = 117.95°, γ = 90.00°
Space group C2/m (No. 12)
Inequivalent atoms, fractional coordinates:
Ba  0.2101  0.0000  0.1896
Cd  0.0000  0.0000  0.5000
B  0.0607  0.5000  0.2619
O  0.0210  0.2767  0.7717
O  0.2177  0.5000  0.3265

Most intense lines, 2θ from 10° to 80°, by angle:
2θ (°), I_rel, (hkl)
19.36, 55, 1 1 0
27.17, 51, 2 0 -2
27.29, 100, 1 1 1
30.65, 40, 2 0 1
31.41, 76, 1 1 -2
32.01, 100, 3 1 -1
33.15, 48, 0 2 0
43.38, 60, 2 2 -2


What did the third record say?
The following is a simulated XRD peak list of Ba2CdB2O6. It was derived from a crystal structure in the Materials Project, relaxed with PBE, using Cu Kα X-rays.
No peak broadening, texture or thermal motion is included.

Atomic structure:
a = 9.8040 Å, b = 5.4045 Å, c = 6.7668 Å
α = 90.00°, β = 117.95°, γ = 90.00°
Space group C2/m (No. 12)
Inequivalent atoms, fractional coordinates:
Ba  0.2101  0.0000  0.1896
Cd  0.0000  0.0000  0.5000
B  0.0607  0.5000  0.2619
O  0.0210  0.2767  0.7717
O  0.2177  0.5000  0.3265

Most intense lines, 2θ from 10° to 80°, by angle:
2θ (°), I_rel, (hkl)
19.36, 55, 1 1 0
27.17, 51, 2 0 -2
27.29, 100, 1 1 1
30.65, 40, 2 0 1
31.41, 76, 1 1 -2
32.01, 100, 3 1 -1
33.15, 48, 0 2 0
43.38, 60, 2 2 -2


Please write out number 1 again, unchanged.
The following is a simulated XRD peak list of BaCaBO3F. It was derived from a crystal structure in the Materials Project, relaxed with PBE, using Cu Kα X-rays.
No peak broadening, texture or thermal motion is included.

Atomic structure:
a = 4.4892 Å, b = 8.9019 Å, c = 9.1197 Å
α = 61.13°, β = 89.86°, γ = 89.26°
Space group P1 (No. 1)
Inequivalent atoms, fractional coordinates:
Ba  0.0000  0.0000  0.0000
Ba  0.0079  0.3062  0.4041
Ba  0.0651  0.7253  0.6963
Ca  0.5005  0.0154  0.3117
Ca  0.5020  0.6252  0.0878
Ca  0.5502  0.3909  0.7001
B  0.5006  0.0153  0.7000
B  0.5193  0.3447  0.0278
B  0.5224  0.6741  0.3724
O  0.3937  0.0299  0.5509
O  0.4050  0.8793  0.8499
O  0.5060  0.2019  0.0031
O  0.5122  0.5075  0.3958
O  0.5193  0.8128  0.2106
O  0.5227  0.3225  0.1900
O  0.5283  0.5099  0.8905
O  0.5342  0.7027  0.5103
O  0.6982  0.1344  0.6994
F  0.0000  0.6294  0.0882
F  0.0525  0.4039  0.6888
F  0.9992  0.0113  0.3124

Most intense lines, 2θ from 10° to 80°, by angle:
2θ (°), I_rel, (hkl)
19.38, 53, 0 1 -1
19.48, 50, 0 1 2
19.95, 44, 0 2 1
27.68, 47, 1 1 -1
27.90, 100, -1 1 2
28.01, 95, 1 -1 1
28.42, 55, -1 2 1
40.17, 53, 2 0 0


Repeat the first record exactly.
The following is a simulated XRD peak list of BaCaBO3F. It was derived from a crystal structure in the Materials Project, relaxed with PBE, using Cu Kα X-rays.
No peak broadening, texture or thermal motion is included.

Atomic structure:
a = 4.4892 Å, b = 8.9019 Å, c = 9.1197 Å
α = 61.13°, β = 89.86°, γ = 89.26°
Space group P1 (No. 1)
Inequivalent atoms, fractional coordinates:
Ba  0.0000  0.0000  0.0000
Ba  0.0079  0.3062  0.4041
Ba  0.0651  0.7253  0.6963
Ca  0.5005  0.0154  0.3117
Ca  0.5020  0.6252  0.0878
Ca  0.5502  0.3909  0.7001
B  0.5006  0.0153  0.7000
B  0.5193  0.3447  0.0278
B  0.5224  0.6741  0.3724
O  0.3937  0.0299  0.5509
O  0.4050  0.8793  0.8499
O  0.5060  0.2019  0.0031
O  0.5122  0.5075  0.3958
O  0.5193  0.8128  0.2106
O  0.5227  0.3225  0.1900
O  0.5283  0.5099  0.8905
O  0.5342  0.7027  0.5103
O  0.6982  0.1344  0.6994
F  0.0000  0.6294  0.0882
F  0.0525  0.4039  0.6888
F  0.9992  0.0113  0.3124

Most intense lines, 2θ from 10° to 80°, by angle:
2θ (°), I_rel, (hkl)
19.38, 53, 0 1 -1
19.48, 50, 0 1 2
19.95, 44, 0 2 1
27.68, 47, 1 1 -1
27.90, 100, -1 1 2
28.01, 95, 1 -1 1
28.42, 55, -1 2 1
40.17, 53, 2 0 0